Diffraction record for Ag6SbAu10. The PXRD pattern is computed, not measured: it uses a crystal structure in Alexandria, relaxed with GGA-PBE and CuKα.

Structural model:
```
data_Ag6SbAu10
_chemical_formula_sum 'Ag6 Sb1 Au10'
_cell_length_a 8.1397
_cell_length_b 8.1397
_cell_length_c 5.6080
_cell_angle_alpha 90.00
_cell_angle_beta 90.00
_cell_angle_gamma 120.00
_symmetry_space_group_name_H-M 'P -3 1 m'
_symmetry_Int_Tables_number 162
_symmetry_space_group_name_Hall '-P 3 2'
loop_
_atom_site_label
_atom_site_type_symbol
_atom_site_fract_x
_atom_site_fract_y
_atom_site_fract_z
Ag1 Ag 0.0000 0.3651 0.3168
Sb1 Sb 0.0000 0.0000 0.5000
Au1 Au 0.0000 0.2890 0.8299
Au2 Au 0.3333 0.6667 0.0000
Au3 Au 0.3333 0.6667 0.5000
```

Principal peaks in the range 2θ = 10–90°, sorted by position:
2theta  intensity  (hkl)
27.07  12  2 -1 1
37.37  26  3 -1 1
38.31  89  3 0 0
39.01  100  1 1 2
55.82  28  4 -2 2
59.49  10  3 2 1
69.73  22  4 1 2
71.12  17  2 -1 4
77.25  9  6 -1 1
83.80  11  2 2 4

Diffraction record for Ag6Sb2Au. The PXRD pattern is computed, not measured: it uses a crystal structure in Alexandria, relaxed with GGA-PBE and CuKα.

Structural model:
```
data_Ag6Sb2Au
_chemical_formula_sum 'Ag12 Sb4 Au2'
_cell_length_a 7.500
_cell_length_b 6.737
_cell_length_c 9.928
_cell_angle_alpha 90.00
_cell_angle_beta 130.20
_cell_angle_gamma 90.00
_symmetry_space_group_name_H-M 'P 1 21/c 1'
_symmetry_Int_Tables_number 14
_symmetry_space_group_name_Hall '-P 2ybc'
loop_
_atom_site_label
_atom_site_type_symbol
_atom_site_fract_x
_atom_site_fract_y
_atom_site_fract_z
Ag1 Ag 0.019 0.150 0.311
Ag2 Ag 0.259 0.162 0.704
Ag3 Ag 0.477 0.178 0.074
Sb1 Sb 0.274 0.690 0.044
Au1 Au 0.000 0.000 0.000
```

Principal peaks in the range 2θ = 10–90°, sorted by position:
2theta  intensity  (hkl)
28.49  61  2 1 -1
30.79  30  1 2 0
30.96  35  1 1 -3
36.84  57  2 2 -1
38.35  72  1 1 2
38.68  100  2 1 -4
38.84  59  1 2 -3
39.01  75  3 1 -2
42.02  83  1 3 -1
68.01  33  4 3 -5

Diffraction record for Ag12Sb2Au5. The PXRD pattern is computed, not measured: it uses a crystal structure in Alexandria, relaxed with GGA-PBE and CuKα.

Structural model:
```
data_Ag12Sb2Au5
_chemical_formula_sum 'Ag24 Sb4 Au10'
_cell_length_a 14.911
_cell_length_b 6.044
_cell_length_c 9.252
_cell_angle_alpha 90.00
_cell_angle_beta 100.81
_cell_angle_gamma 90.00
_symmetry_space_group_name_H-M 'C 1 2/m 1'
_symmetry_Int_Tables_number 12
_symmetry_space_group_name_Hall '-C 2y'
loop_
_atom_site_label
_atom_site_type_symbol
_atom_site_fract_x
_atom_site_fract_y
_atom_site_fract_z
Ag1 Ag 0.019 0.000 0.357
Ag2 Ag 0.147 0.236 0.624
Ag3 Ag 0.154 0.500 0.361
Ag4 Ag 0.204 0.262 0.123
Sb1 Sb 0.000 0.264 0.000
Au1 Au 0.000 0.500 0.500
Au2 Au 0.126 0.000 0.881
Au3 Au 0.201 0.000 0.379
```

Principal peaks in the range 2θ = 10–90°, sorted by position:
2theta  intensity  (hkl)
24.35  55  1 1 -2
36.53  100  2 2 -2
36.82  33  6 0 0
38.72  62  4 2 -1
39.04  67  2 2 2
39.67  41  0 0 4
40.00  34  6 0 1
41.41  64  5 1 -3
43.01  36  6 0 -3
45.80  38  4 2 2

Diffraction record for Ag3SbAu6. The PXRD pattern is computed, not measured: it uses a crystal structure in Alexandria, relaxed with GGA-PBE and CuKα.

Structural model:
```
data_Ag3SbAu6
_chemical_formula_sum 'Ag9 Sb3 Au18'
_cell_length_a 11.6563
_cell_length_b 11.6563
_cell_length_c 5.3576
_cell_angle_alpha 90.00
_cell_angle_beta 90.00
_cell_angle_gamma 120.00
_symmetry_space_group_name_H-M 'R 3 m'
_symmetry_Int_Tables_number 160
_symmetry_space_group_name_Hall 'R 3 -2"'
loop_
_atom_site_label
_atom_site_type_symbol
_atom_site_fract_x
_atom_site_fract_y
_atom_site_fract_z
Ag1 Ag 0.1709 0.3419 0.0000
Sb1 Sb 0.0000 0.0000 0.2602
Au1 Au 0.0994 0.5497 0.1582
Au2 Au 0.1712 0.0856 0.8584
```

Principal peaks in the range 2θ = 10–90°, sorted by position:
2theta  intensity  (hkl)
26.49  31  3 0 0
34.64  28  0 1 2
36.20  100  1 3 1
38.03  35  2 0 2
39.47  22  4 0 1
40.97  17  4 1 0
42.53  26  3 2 1
46.76  19  3 3 0
46.94  22  3 1 2
67.23  14  7 0 1

Diffraction record for AgSbTeAu. The PXRD pattern is computed, not measured: it uses a crystal structure in Alexandria, relaxed with GGA-PBE and CuKα.

Structural model:
```
data_AgSbTeAu
_chemical_formula_sum 'Ag6 Sb6 Te6 Au6'
_cell_length_a 4.3107
_cell_length_b 4.3107
_cell_length_c 38.6244
_cell_angle_alpha 90.00
_cell_angle_beta 90.00
_cell_angle_gamma 120.00
_symmetry_space_group_name_H-M 'R -3 m'
_symmetry_Int_Tables_number 166
_symmetry_space_group_name_Hall '-R 3 2"'
loop_
_atom_site_label
_atom_site_type_symbol
_atom_site_fract_x
_atom_site_fract_y
_atom_site_fract_z
Ag1 Ag 0.0000 0.0000 0.1863
Sb1 Sb 0.0000 0.0000 0.3880
Te1 Te 0.0000 0.0000 0.1107
Au1 Au 0.0000 0.0000 0.3120
```

Principal peaks in the range 2θ = 10–90°, sorted by position:
2theta  intensity  (hkl)
24.28  43  0 1 2
25.58  65  1 0 4
33.38  99  1 0 10
40.66  71  0 1 14
41.92  100  1 1 0
44.70  34  1 0 16
54.61  24  0 2 10
59.82  23  2 0 14
73.43  22  1 1 24
75.71  23  1 2 14

Diffraction record for Sc4AgAu3. The PXRD pattern is computed, not measured: it uses a crystal structure in Alexandria, relaxed with GGA-PBE and CuKα.

Structural model:
```
data_Sc4AgAu3
_chemical_formula_sum 'Sc12 Ag3 Au9'
_cell_length_a 4.8197
_cell_length_b 4.8197
_cell_length_c 23.6575
_cell_angle_alpha 90.00
_cell_angle_beta 90.00
_cell_angle_gamma 120.00
_symmetry_space_group_name_H-M 'R -3 m'
_symmetry_Int_Tables_number 166
_symmetry_space_group_name_Hall '-R 3 2"'
loop_
_atom_site_label
_atom_site_type_symbol
_atom_site_fract_x
_atom_site_fract_y
_atom_site_fract_z
Sc1 Sc 0.0000 0.0000 0.1230
Sc2 Sc 0.0000 0.0000 0.3733
Ag1 Ag 0.0000 0.0000 0.5000
Au1 Au 0.0000 0.0000 0.0000
Au2 Au 0.0000 0.0000 0.2450
```

Principal peaks in the range 2θ = 10–90°, sorted by position:
2theta  intensity  (hkl)
26.13  44  1 0 4
37.29  100  1 1 0
46.10  13  0 2 4
53.76  17  2 0 8
60.73  18  2 1 4
67.23  25  1 2 8
67.30  9  3 0 0
79.43  5  0 2 16
79.55  6  2 2 0
85.43  7  1 3 4